For BaSn3Cl8, a crystal structure in Alexandria, relaxed with PBE gives the computed powder X-ray diffraction pattern in this record (Cu Kα X-rays).

Principal peaks in the range 15° ≤ 2θ ≤ 90°, low angle first:
2θ (°), intensity
15.1, 77
23.5, 77
30.8, 100
34.5, 27
40.3, 46
43.0, 18
43.3, 34
47.6, 28
51.5, 22
67.4, 19

Atomic structure:
```
data_BaSn3Cl8
_space_group_name_H-M_alt 'P 1'
_space_group_IT_number 1
_cell_length_a 7.808
_cell_length_b 7.808
_cell_length_c 7.808
_cell_angle_alpha 70.00
_cell_angle_beta 70.00
_cell_angle_gamma 70.00
loop_
_space_group_symop_operation_xyz
'x,y,z'
loop_
_atom_site_label
_atom_site_fract_x
_atom_site_fract_y
_atom_site_fract_z
Ba1 0.000 0.000 0.000
Sn1 0.000 0.500 0.500
Sn2 0.500 0.000 0.500
Sn3 0.500 0.500 0.000
Cl1 0.251 0.251 0.251
Cl2 0.256 0.256 0.727
Cl3 0.256 0.727 0.256
Cl4 0.273 0.744 0.744
Cl5 0.727 0.256 0.256
Cl6 0.744 0.273 0.744
Cl7 0.744 0.744 0.273
Cl8 0.749 0.749 0.749
```